# Sm2Y2CI2BrCl2
Calculated powder diffractogram, Cu Kα. Input: a structure optimized by DFT (GGA-PBE).
Intensities are scaled so that the largest is 100.

Atomic structure:
```
10
Lattice="8.9121 -1.9577 0.0000 8.9121 1.9577 0.0000 -1.6282 0.0000 8.2219" Properties=species:S:1:pos:R:3 pbc="T T T"
Sm -0.3969 0.0000 2.4582
Sm 16.5929 0.0000 5.7637
Y 5.7484 0.0000 3.5740
Y 10.4477 0.0000 4.6480
C 8.0980 0.0000 4.1110
I 1.6686 0.0000 6.9654
I 14.5274 0.0000 1.2566
Br 8.9121 0.0000 0.0000
Cl 2.4821 0.0000 2.9327
Cl 13.7139 0.0000 5.2892
```

Peak list (12 most intense, 10° ≤ 2θ ≤ 90°, low angle first)
- 2θ 10.1, I 32
- 2θ 13.3, I 27
- 2θ 23.3, I 17
- 2θ 28.4, I 19
- 2θ 30.7, I 80
- 2θ 31.3, I 100
- 2θ 34.4, I 24
- 2θ 36.2, I 19
- 2θ 43.7, I 26
- 2θ 45.0, I 31
- 2θ 46.4, I 18
- 2θ 56.6, I 16

=====

# Er3Lu4Ir2S2
Calculated powder diffractogram, Cu Kα. Input: a structure optimized by DFT (GGA-PBE).
Intensities are scaled so that the largest is 100.

Atomic structure:
```
11
Lattice="-1.9125 7.3031 4.4872 1.9125 -7.3031 4.4872 1.9125 7.3031 -4.4872" Properties=species:S:1:pos:R:3 pbc="T T T"
Er 0.0000 0.0000 0.0000
Er 1.9125 5.5505 0.7758
Er 0.0000 1.7526 5.2630
Lu 1.9125 2.6569 -1.1474
Lu 1.9125 -1.9993 2.2002
Lu 1.9125 1.9993 2.2002
Lu 0.0000 4.6462 3.3398
Ir 0.0000 3.4714 0.6568
Ir 0.0000 11.1349 0.6568
S 0.0000 0.0000 3.0324
S 0.0000 7.3031 2.2189
```

Peak list (12 most intense, 10° ≤ 2θ ≤ 90°, low angle first)
- 2θ 12.1, I 43
- 2θ 29.7, I 17
- 2θ 30.5, I 17
- 2θ 31.3, I 51
- 2θ 31.6, I 16
- 2θ 32.2, I 30
- 2θ 35.2, I 30
- 2θ 35.4, I 100
- 2θ 35.9, I 38
- 2θ 38.2, I 25
- 2θ 40.2, I 32
- 2θ 47.5, I 27

=====

# Rb2Ba2Hg3
Calculated powder diffractogram, Cu Kα. Input: a structure optimized by DFT (GGA-PBE).
Intensities are scaled so that the largest is 100.

Atomic structure:
```
7
Lattice="2.9948 1.7291 9.7541 -2.9948 1.7291 9.7541 0.0000 -3.4581 9.7541" Properties=species:S:1:pos:R:3 pbc="T T T"
Rb 0.0000 0.0000 0.0000
Rb 0.0000 0.0000 14.5888
Ba 0.0000 0.0000 7.3677
Ba 0.0000 0.0000 21.8303
Hg 0.0000 0.0000 10.9686
Hg 0.0000 0.0000 18.2467
Hg 0.0000 0.0000 25.5545
```

Peak list (12 most intense, 10° ≤ 2θ ≤ 90°, low angle first)
- 2θ 17.4, I 7
- 2θ 18.2, I 10
- 2θ 29.9, I 100
- 2θ 35.2, I 6
- 2θ 42.7, I 19
- 2θ 53.0, I 30
- 2θ 53.1, I 10
- 2θ 62.0, I 6
- 2θ 62.1, I 6
- 2θ 70.4, I 17
- 2θ 85.9, I 11
- 2θ 86.0, I 5

=====

# Nb2CuB2
Calculated powder diffractogram, Cu Kα. Input: a structure optimized by DFT (GGA-PBE).
Intensities are scaled so that the largest is 100.

Atomic structure:
```
5
Lattice="1.5384 -5.7538 0.0000 1.5384 5.7538 0.0000 0.0000 0.0000 3.3144" Properties=species:S:1:pos:R:3 pbc="T T T"
Nb 1.5384 4.1778 0.0000
Nb 1.5384 -4.1778 0.0000
Cu 1.5384 0.0000 1.6572
B 1.5384 2.4242 1.6572
B 1.5384 -2.4242 1.6572
```

Peak list (12 most intense, 10° ≤ 2θ ≤ 90°, low angle first)
- 2θ 26.9, I 22
- 2θ 31.1, I 33
- 2θ 37.5, I 79
- 2θ 40.8, I 100
- 2θ 41.6, I 82
- 2θ 46.7, I 18
- 2θ 49.5, I 18
- 2θ 55.4, I 19
- 2θ 60.1, I 15
- 2θ 68.8, I 25
- 2θ 70.9, I 27
- 2θ 75.8, I 26

=====

# SrAl5PdPt
Calculated powder diffractogram, Cu Kα. Input: a structure optimized by DFT (GGA-PBE).
Intensities are scaled so that the largest is 100.

Atomic structure:
```
8
Lattice="-2.0590 3.6897 5.0353 2.0590 -3.6897 5.0353 2.0590 3.6897 -5.0353" Properties=species:S:1:pos:R:3 pbc="T T T"
Sr 0.0000 0.0000 0.0000
Al 2.0590 2.2959 -1.5633
Al 2.0590 2.2847 1.5277
Al 0.0000 3.6897 0.0089
Al 0.0000 1.3938 3.4720
Al 0.0000 1.4050 6.5631
Pd 0.0000 3.6897 2.4075
Pt 2.0590 0.0000 2.6292
```

Peak list (12 most intense, 10° ≤ 2θ ≤ 90°, low angle first)
- 2θ 17.6, I 39
- 2θ 24.1, I 43
- 2θ 24.8, I 28
- 2θ 29.2, I 16
- 2θ 30.5, I 100
- 2θ 33.8, I 26
- 2θ 42.8, I 19
- 2θ 43.5, I 34
- 2θ 43.9, I 42
- 2θ 46.6, I 42
- 2θ 60.9, I 16
- 2θ 63.6, I 22

=====

# Cs2KTaTe4
Calculated powder diffractogram, Cu Kα. Input: a structure optimized by DFT (GGA-PBE).
Intensities are scaled so that the largest is 100.

Atomic structure:
```
8
Lattice="-4.6536 4.6536 4.3083 4.6536 -4.6536 4.3083 4.6536 4.6536 -4.3083" Properties=species:S:1:pos:R:3 pbc="T T T"
Cs 4.6536 0.0000 0.0000
Cs 0.0000 4.6536 0.0000
K 0.0000 0.0000 0.0000
Ta 0.0000 0.0000 4.3083
Te 3.1345 3.1345 -1.5344
Te 1.5191 1.5191 2.7739
Te 1.5191 -1.5191 5.8427
Te -1.5191 1.5191 5.8427
```

Peak list (12 most intense, 10° ≤ 2θ ≤ 90°, low angle first)
- 2θ 14.0, I 82
- 2θ 23.7, I 97
- 2θ 24.7, I 35
- 2θ 27.1, I 49
- 2θ 28.2, I 100
- 2θ 34.3, I 41
- 2θ 42.9, I 32
- 2θ 43.5, I 29
- 2θ 44.2, I 42
- 2θ 46.5, I 26
- 2θ 48.6, I 27
- 2θ 67.2, I 23

=====

# Nb2InGaPt2
Calculated powder diffractogram, Cu Kα. Input: a structure optimized by DFT (GGA-PBE).
Intensities are scaled so that the largest is 100.

Atomic structure:
```
24
Lattice="10.6926 0.0000 0.0000 0.0000 4.3626 0.0000 -3.5731 0.0000 10.0931" Properties=species:S:1:pos:R:3 pbc="T T T"
Nb 0.0000 0.0000 0.0000
Nb -0.0518 2.1813 3.7780
Nb -0.0617 0.0000 7.5244
Nb 3.5457 2.1813 1.3277
Nb 3.5547 0.0000 5.0444
Nb 3.5706 2.1813 8.7843
Nb 7.0915 0.0000 2.5733
Nb 7.0791 2.1813 6.2788
In -1.8298 2.1813 8.8337
In 1.7589 2.1813 6.2794
In 5.3326 0.0000 0.0249
In 8.8818 2.1813 1.2703
Ga 1.7632 0.0000 2.5343
Ga 5.3185 2.1813 3.7912
Ga 5.3241 0.0000 7.5398
Ga 8.8669 0.0000 5.0326
Pt 0.9180 2.1813 1.3277
Pt 0.8075 0.0000 4.9736
Pt 0.8560 2.1813 8.8208
Pt 4.4231 0.0000 2.6034
Pt 4.4790 2.1813 6.2891
Pt 4.4673 0.0000 10.0131
Pt 7.9570 2.1813 3.8295
Pt 7.9416 0.0000 7.4984
```

Peak list (12 most intense, 10° ≤ 2θ ≤ 90°, low angle first)
- 2θ 25.0, I 63
- 2θ 41.4, I 100
- 2θ 48.9, I 31
- 2θ 59.9, I 16
- 2θ 65.9, I 8
- 2θ 66.0, I 4
- 2θ 75.4, I 14
- 2θ 75.5, I 19
- 2θ 80.8, I 2
- 2θ 80.9, I 7
- 2θ 89.8, I 5
- 2θ 89.9, I 6

=====

# CsCuTcIr
Calculated powder diffractogram, Cu Kα. Input: a structure optimized by DFT (GGA-PBE).
Intensities are scaled so that the largest is 100.

Atomic structure:
```
4
Lattice="0.0000 3.3118 3.3118 3.3118 0.0000 3.3118 3.3118 3.3118 0.0000" Properties=species:S:1:pos:R:3 pbc="T T T"
Cs 0.0000 0.0000 0.0000
Cu 4.9677 4.9677 4.9677
Tc 1.6559 1.6559 1.6559
Ir 3.3118 3.3118 3.3118
```

Peak list (12 most intense, 10° ≤ 2θ ≤ 90°, low angle first)
- 2θ 23.3, I 4
- 2θ 26.9, I 12
- 2θ 38.4, I 100
- 2θ 45.4, I 3
- 2θ 47.6, I 3
- 2θ 55.5, I 17
- 2θ 61.0, I 1
- 2θ 62.7, I 5
- 2θ 69.5, I 34
- 2θ 82.4, I 11
- 2θ 87.0, I 1
- 2θ 88.6, I 3

=====

# PrYCu2Pb2
Calculated powder diffractogram, Cu Kα. Input: a structure optimized by DFT (GGA-PBE).
Intensities are scaled so that the largest is 100.

Atomic structure:
```
6
Lattice="4.6528 0.0000 0.0000 -2.3264 4.0294 0.0000 0.0000 0.0000 7.5633" Properties=species:S:1:pos:R:3 pbc="T T T"
Pr 0.0000 0.0000 0.0000
Y 0.0000 0.0000 3.7751
Cu 0.0000 2.6863 6.0168
Cu 2.3264 1.3431 2.4568
Pb 0.0000 2.6863 1.8087
Pb 2.3264 1.3431 5.4604
```

Peak list (12 most intense, 10° ≤ 2θ ≤ 90°, low angle first)
- 2θ 25.0, I 57
- 2θ 32.5, I 100
- 2θ 38.7, I 82
- 2θ 42.3, I 28
- 2θ 45.8, I 12
- 2θ 46.7, I 11
- 2θ 51.4, I 27
- 2θ 63.4, I 23
- 2θ 66.0, I 11
- 2θ 66.1, I 26
- 2θ 70.1, I 14
- 2θ 72.5, I 12

=====

# Er6TmTe2Pd2
Calculated powder diffractogram, Cu Kα. Input: a structure optimized by DFT (GGA-PBE).
Intensities are scaled so that the largest is 100.

Atomic structure:
```
11
Lattice="-1.9507 7.8017 4.7857 1.9507 -7.8017 4.7857 1.9507 7.8017 -4.7857" Properties=species:S:1:pos:R:3 pbc="T T T"
Er 1.9507 -2.8505 2.7937
Er 0.0000 2.0151 0.0000
Er 1.9507 2.8505 2.7937
Er 0.0000 5.5661 1.4428
Er 0.0000 10.0374 1.4428
Er 0.0000 13.5883 0.0000
Tm 0.0000 0.0000 3.9882
Te 1.9507 0.0000 1.4576
Te 0.0000 0.0000 7.2191
Pd 1.9507 4.1020 -0.1171
Pd 0.0000 3.6997 4.6685
```

Peak list (12 most intense, 10° ≤ 2θ ≤ 90°, low angle first)
- 2θ 28.6, I 32
- 2θ 30.1, I 69
- 2θ 32.9, I 60
- 2θ 33.8, I 100
- 2θ 34.3, I 46
- 2θ 34.5, I 14
- 2θ 36.4, I 22
- 2θ 38.2, I 21
- 2θ 39.4, I 16
- 2θ 46.6, I 34
- 2θ 50.9, I 19
- 2θ 58.2, I 30

=====

# Nd2MoN3
Calculated powder diffractogram, Cu Kα. Input: a structure optimized by DFT (GGA-PBE).
Intensities are scaled so that the largest is 100.

Atomic structure:
```
6
Lattice="-1.7519 1.9874 6.4269 1.7519 -1.9874 6.4269 1.7519 1.9874 -6.4269" Properties=species:S:1:pos:R:3 pbc="T T T"
Nd 0.0000 0.0000 1.9025
Nd 0.0000 0.0000 10.9513
Mo 0.0000 0.0000 6.4269
N 1.7519 0.0000 0.0000
N 0.0000 0.0000 4.3798
N 0.0000 0.0000 8.4740
```

Peak list (12 most intense, 10° ≤ 2θ ≤ 90°, low angle first)
- 2θ 30.7, I 88
- 2θ 33.0, I 86
- 2θ 34.1, I 100
- 2θ 42.2, I 22
- 2θ 44.5, I 18
- 2θ 45.6, I 25
- 2θ 52.2, I 16
- 2θ 55.3, I 33
- 2θ 57.5, I 35
- 2θ 61.8, I 25
- 2θ 71.8, I 12
- 2θ 86.9, I 21

=====

# Tb2Ta2Cu
Calculated powder diffractogram, Cu Kα. Input: a structure optimized by DFT (GGA-PBE).
Intensities are scaled so that the largest is 100.

Atomic structure:
```
10
Lattice="0.0000 6.0443 7.4830 2.5916 0.0000 7.4830 2.5916 6.0443 0.0000" Properties=species:S:1:pos:R:3 pbc="T T T"
Tb 0.0000 0.0000 0.0000
Tb 1.2958 3.0222 0.0000
Tb 1.2958 0.0000 3.7415
Tb 0.0000 3.0222 3.7415
Ta 1.9437 3.2109 5.6123
Ta 1.9437 5.8556 5.6123
Ta 3.2394 6.2331 9.3538
Ta 3.2394 8.8777 9.3538
Cu 0.6479 1.5111 1.8708
Cu 4.5352 10.5775 13.0953
```

Peak list (12 most intense, 10° ≤ 2θ ≤ 90°, low angle first)
- 2θ 18.9, I 23
- 2θ 25.9, I 100
- 2θ 29.6, I 64
- 2θ 33.4, I 60
- 2θ 35.4, I 44
- 2θ 36.7, I 40
- 2θ 39.7, I 35
- 2θ 41.4, I 33
- 2θ 45.2, I 54
- 2θ 48.7, I 27
- 2θ 51.7, I 33
- 2θ 58.0, I 21